No. 1
The following is a calculated powder diffraction line list of NbVCuPt. It was derived from the PBE geometry in Alexandria, using Cu Kα, 1.54184 Å.
Neutral-atom scattering factors, no anomalous dispersion.

Structural model:
```
data_NbVCuPt
_space_group_name_H-M_alt 'F -4 3 m'
_space_group_IT_number 216
_space_group_name_Hall 'F -4 2 3'
_cell_length_a 6.178
_cell_length_b 6.178
_cell_length_c 6.178
_cell_angle_alpha 90.00
_cell_angle_beta 90.00
_cell_angle_gamma 90.00
loop_
_atom_site_label
_atom_site_type_symbol
_atom_site_fract_x
_atom_site_fract_y
_atom_site_fract_z
_atom_site_occupancy
Nb1 Nb 0.000 0.000 0.000 1
V1 V 0.250 0.250 0.750 1
Cu1 Cu 0.250 0.250 0.250 1
Pt1 Pt 0.000 0.000 0.500 1
```

Most intense lines, 10° ≤ 2θ ≤ 80°, in order of rising 2θ:
hkl 1 1 1, 2θ 24.96, 3.567 Å, intensity 14; hkl 2 0 0, 2θ 28.90, 3.089 Å, intensity 22; hkl 2 2 0, 2θ 41.34, 2.184 Å, intensity 100; hkl 3 1 1, 2θ 48.90, 1.863 Å, intensity 8; hkl 2 2 2, 2θ 51.22, 1.783 Å, intensity 6; hkl 4 0 0, 2θ 59.89, 1.544 Å, intensity 16; hkl 3 3 1, 2θ 65.90, 1.417 Å, intensity 3; hkl 4 2 0, 2θ 67.84, 1.381 Å, intensity 9; hkl 4 2 2, 2θ 75.37, 1.261 Å, intensity 33


No. 2
The following is a calculated powder diffraction line list of RbNb2CuS6. It was derived from the PBE geometry in Alexandria, using Cu Kα, 1.54184 Å.
Neutral-atom scattering factors, no anomalous dispersion.

Structural model:
```
data_RbNb2CuS6
_space_group_name_H-M_alt 'C 1 2/c 1'
_space_group_IT_number 15
_space_group_name_Hall '-C 2yc'
_cell_length_a 11.412
_cell_length_b 13.134
_cell_length_c 7.766
_cell_angle_alpha 90.00
_cell_angle_beta 112.24
_cell_angle_gamma 90.00
loop_
_atom_site_label
_atom_site_type_symbol
_atom_site_fract_x
_atom_site_fract_y
_atom_site_fract_z
_atom_site_occupancy
Rb1 Rb 0.000 0.143 0.250 1
Nb1 Nb 0.143 0.430 0.139 1
Cu1 Cu 0.000 0.180 0.750 1
S1 S 0.111 0.423 0.445 1
S2 S 0.123 0.287 0.978 1
S3 S 0.142 0.073 0.699 1
```

Most intense lines, 10° ≤ 2θ ≤ 80°, in order of rising 2θ:
hkl 0 2 1, 2θ 18.30, 4.849 Å, intensity 90; hkl 2 2 -1, 2θ 21.48, 4.136 Å, intensity 62; hkl 1 3 0, 2θ 21.98, 4.045 Å, intensity 50; hkl 1 1 -2, 2θ 23.92, 3.721 Å, intensity 100; hkl 3 1 0, 2θ 26.20, 3.401 Å, intensity 84; hkl 2 2 -2, 2θ 27.72, 3.218 Å, intensity 65; hkl 0 4 1, 2θ 29.92, 2.987 Å, intensity 53; hkl 4 0 -2, 2θ 33.66, 2.663 Å, intensity 39; hkl 2 0 2, 2θ 35.13, 2.555 Å, intensity 36; hkl 2 4 -3, 2θ 44.67, 2.029 Å, intensity 37


No. 3
The following is a calculated powder diffraction line list of Rb2NbCuSe4. It was derived from the PBE geometry in Alexandria, using Cu Kα, 1.54184 Å.
Neutral-atom scattering factors, no anomalous dispersion.

Structural model:
```
data_Rb2NbCuSe4
_space_group_name_H-M_alt 'F d d d'
_space_group_IT_number 70
_cell_length_a 5.771
_cell_length_b 14.376
_cell_length_c 25.168
_cell_angle_alpha 90.00
_cell_angle_beta 90.00
_cell_angle_gamma 90.00
loop_
_space_group_symop_operation_xyz
'x,y,z'
'-x,-y,-z'
'-x+1/4,-y+1/4,z'
'x+1/4,y+1/4,-z'
'x,-y+1/4,-z+1/4'
'-x,y+1/4,z+1/4'
'-x+1/4,y,-z+1/4'
'x+1/4,-y,z+1/4'
'x,y+1/2,z+1/2'
'-x,-y+1/2,-z+1/2'
'-x+1/4,-y+3/4,z+1/2'
'x+1/4,y+3/4,-z+1/2'
'x,-y+3/4,-z+3/4'
'-x,y+3/4,z+3/4'
'-x+1/4,y+1/2,-z+3/4'
'x+1/4,-y+1/2,z+3/4'
'x+1/2,y,z+1/2'
'-x+1/2,-y,-z+1/2'
'-x+3/4,-y+1/4,z+1/2'
'x+3/4,y+1/4,-z+1/2'
'x+1/2,-y+1/4,-z+3/4'
'-x+1/2,y+1/4,z+3/4'
'-x+3/4,y,-z+3/4'
'x+3/4,-y,z+3/4'
'x+1/2,y+1/2,z'
'-x+1/2,-y+1/2,-z'
'-x+3/4,-y+3/4,z'
'x+3/4,y+3/4,-z'
'x+1/2,-y+3/4,-z+1/4'
'-x+1/2,y+3/4,z+1/4'
'-x+3/4,y+1/2,-z+1/4'
'x+3/4,-y+1/2,z+1/4'
loop_
_atom_site_label
_atom_site_type_symbol
_atom_site_fract_x
_atom_site_fract_y
_atom_site_fract_z
_atom_site_occupancy
Rb1 Rb 0.125 0.125 0.304 1
Nb1 Nb 0.125 0.125 0.625 1
Cu1 Cu 0.125 0.125 0.125 1
Se1 Se 0.122 0.277 0.820 1
```

Most intense lines, 10° ≤ 2θ ≤ 80°, in order of rising 2θ:
hkl 0 0 4, 2θ 14.08, 6.292 Å, intensity 37; hkl 0 2 2, 2θ 14.19, 6.242 Å, intensity 40; hkl 0 2 6, 2θ 24.57, 3.623 Å, intensity 41; hkl 1 3 3, 2θ 26.41, 3.375 Å, intensity 100; hkl 1 3 5, 2θ 30.04, 2.974 Å, intensity 58; hkl 2 0 6, 2θ 37.84, 2.377 Å, intensity 43; hkl 2 4 2, 2θ 40.74, 2.215 Å, intensity 18; hkl 0 6 6, 2θ 43.50, 2.081 Å, intensity 25; hkl 2 0 10, 2θ 47.97, 1.896 Å, intensity 26; hkl 2 6 0, 2θ 49.44, 1.843 Å, intensity 30


No. 4
The following is a calculated powder diffraction line list of Nb2CuS4. It was derived from the PBE geometry in Alexandria, using Cu Kα, 1.54184 Å.
Neutral-atom scattering factors, no anomalous dispersion.

Structural model:
```
data_Nb2CuS4
_space_group_name_H-M_alt 'P 3 m 1'
_space_group_IT_number 156
_space_group_name_Hall 'P 3 -2"'
_cell_length_a 3.3940
_cell_length_b 3.3940
_cell_length_c 13.2390
_cell_angle_alpha 90.00
_cell_angle_beta 90.00
_cell_angle_gamma 120.00
loop_
_atom_site_label
_atom_site_type_symbol
_atom_site_fract_x
_atom_site_fract_y
_atom_site_fract_z
_atom_site_occupancy
Nb1 Nb 0.0000 0.0000 0.0000 1
Nb2 Nb 0.3333 0.6667 0.5030 1
Cu1 Cu 0.3333 0.6667 0.2849 1
S1 S 0.0000 0.0000 0.3814 1
S2 S 0.0000 0.0000 0.6185 1
S3 S 0.3333 0.6667 0.1183 1
S4 S 0.3333 0.6667 0.8855 1
```

Most intense lines, 10° ≤ 2θ ≤ 80°, in order of rising 2θ:
hkl 0 0 2, 2θ 13.38, 6.619 Å, intensity 85; hkl 1 0 0, 2θ 30.41, 2.939 Å, intensity 71; hkl 0 1 1, 2θ 31.17, 2.869 Å, intensity 40; hkl 1 0 2, 2θ 33.35, 2.686 Å, intensity 22; hkl 1 0 3, 2θ 36.74, 2.446 Å, intensity 84; hkl 0 1 5, 2θ 46.14, 1.967 Å, intensity 100; hkl 1 1 0, 2θ 54.04, 1.697 Å, intensity 46; hkl 1 1 2, 2θ 55.94, 1.644 Å, intensity 12; hkl 0 2 3, 2θ 67.13, 1.394 Å, intensity 13; hkl 2 0 5, 2θ 73.73, 1.285 Å, intensity 23


No. 5
The following is a calculated powder diffraction line list of NbCu4S5. It was derived from the PBE geometry in Alexandria, using Cu Kα, 1.54184 Å.
Neutral-atom scattering factors, no anomalous dispersion.

Structural model:
```
data_NbCu4S5
_space_group_name_H-M_alt 'I 4'
_space_group_IT_number 79
_space_group_name_Hall 'I 4'
_cell_length_a 7.475
_cell_length_b 7.475
_cell_length_c 6.216
_cell_angle_alpha 90.00
_cell_angle_beta 90.00
_cell_angle_gamma 90.00
loop_
_atom_site_label
_atom_site_type_symbol
_atom_site_fract_x
_atom_site_fract_y
_atom_site_fract_z
_atom_site_occupancy
Nb1 Nb 0.000 0.000 0.000 1
Cu1 Cu 0.161 0.270 0.487 1
S1 S 0.000 0.000 0.616 1
S2 S 0.068 0.296 0.138 1
```

Most intense lines, 10° ≤ 2θ ≤ 80°, in order of rising 2θ:
hkl 1 1 0, 2θ 16.77, 5.285 Å, intensity 21; hkl 0 0 2, 2θ 28.72, 3.108 Å, intensity 66; hkl 2 1 1, 2θ 30.36, 2.944 Å, intensity 100; hkl 1 3 0, 2θ 38.07, 2.364 Å, intensity 75; hkl 3 0 1, 2θ 38.94, 2.313 Å, intensity 34; hkl 2 2 2, 2θ 45.03, 2.013 Å, intensity 30; hkl 1 3 2, 2θ 48.38, 1.881 Å, intensity 32; hkl 2 1 3, 2θ 51.92, 1.761 Å, intensity 70; hkl 1 4 1, 2θ 52.59, 1.740 Å, intensity 24; hkl 4 3 1, 2θ 64.06, 1.453 Å, intensity 30


No. 6
The following is a calculated powder diffraction line list of Nb2Cu4S5. It was derived from the PBE geometry in Alexandria, using Cu Kα, 1.54184 Å.
Neutral-atom scattering factors, no anomalous dispersion.

Structural model:
```
data_Nb2Cu4S5
_space_group_name_H-M_alt 'R -3 m'
_space_group_IT_number 166
_space_group_name_Hall '-R 3 2"'
_cell_length_a 3.7240
_cell_length_b 3.7240
_cell_length_c 46.1033
_cell_angle_alpha 90.00
_cell_angle_beta 90.00
_cell_angle_gamma 120.00
loop_
_atom_site_label
_atom_site_type_symbol
_atom_site_fract_x
_atom_site_fract_y
_atom_site_fract_z
_atom_site_occupancy
Nb1 Nb 0.0000 0.0000 0.1416 1
Cu1 Cu 0.0000 0.0000 0.3121 1
Cu2 Cu 0.0000 0.0000 0.4166 1
S1 S 0.0000 0.0000 0.2277 1
S2 S 0.0000 0.0000 0.3681 1
S3 S 0.0000 0.0000 0.5000 1
```

Most intense lines, 10° ≤ 2θ ≤ 80°, in order of rising 2θ:
hkl 0 0 6, 2θ 11.52, 7.684 Å, intensity 11; hkl 1 0 1, 2θ 27.73, 3.217 Å, intensity 11; hkl 0 1 2, 2θ 27.93, 3.194 Å, intensity 8; hkl 1 0 4, 2θ 28.74, 3.106 Å, intensity 31; hkl 1 0 7, 2θ 30.87, 2.896 Å, intensity 25; hkl 0 1 11, 2θ 35.10, 2.557 Å, intensity 100; hkl 0 1 14, 2θ 39.09, 2.304 Å, intensity 19; hkl 1 1 0, 2θ 48.92, 1.862 Å, intensity 56; hkl 1 0 22, 2θ 52.04, 1.757 Å, intensity 24; hkl 2 0 11, 2θ 61.60, 1.506 Å, intensity 35


No. 7
The following is a calculated powder diffraction line list of Nb2V3Cu15S20. It was derived from the PBE geometry in Alexandria, using Cu Kα, 1.54184 Å.
Neutral-atom scattering factors, no anomalous dispersion.

Structural model:
```
data_Nb2V3Cu15S20
_space_group_name_H-M_alt 'P -4 2 m'
_space_group_IT_number 111
_space_group_name_Hall 'P -4 2'
_cell_length_a 5.457
_cell_length_b 5.457
_cell_length_c 27.276
_cell_angle_alpha 90.00
_cell_angle_beta 90.00
_cell_angle_gamma 90.00
loop_
_atom_site_label
_atom_site_type_symbol
_atom_site_fract_x
_atom_site_fract_y
_atom_site_fract_z
_atom_site_occupancy
Nb1 Nb 0.000 0.000 0.102 1
V1 V 0.000 0.000 0.302 1
V2 V 0.000 0.000 0.500 1
Cu1 Cu 0.000 0.000 0.000 1
Cu2 Cu 0.000 0.000 0.203 1
Cu3 Cu 0.000 0.000 0.401 1
Cu4 Cu 0.000 0.500 0.102 1
Cu5 Cu 0.000 0.500 0.302 1
Cu6 Cu 0.000 0.500 0.500 1
S1 S 0.235 0.235 0.349 1
S2 S 0.235 0.235 0.547 1
S3 S 0.235 0.235 0.745 1
S4 S 0.245 0.245 0.948 1
S5 S 0.246 0.246 0.151 1
```

Most intense lines, 10° ≤ 2θ ≤ 80°, in order of rising 2θ:
hkl 1 0 0, 2θ 16.24, 5.456 Å, intensity 100; hkl 1 1 5, 2θ 28.33, 3.150 Å, intensity 59; hkl 2 0 0, 2θ 32.83, 2.728 Å, intensity 17; hkl 2 1 0, 2θ 36.83, 2.440 Å, intensity 38; hkl 2 2 0, 2θ 47.11, 1.929 Å, intensity 89; hkl 2 2 5, 2θ 50.16, 1.819 Å, intensity 22; hkl 3 1 5, 2θ 55.89, 1.645 Å, intensity 22; hkl 3 2 0, 2θ 61.25, 1.513 Å, intensity 13; hkl 4 0 0, 2θ 68.83, 1.364 Å, intensity 13; hkl 4 1 0, 2θ 71.26, 1.323 Å, intensity 8


No. 8
The following is a calculated powder diffraction line list of Nb3Cu2Se6. It was derived from the PBE geometry in Alexandria, using Cu Kα, 1.54184 Å.
Neutral-atom scattering factors, no anomalous dispersion.

Structural model:
```
data_Nb3Cu2Se6
_space_group_name_H-M_alt 'C m c 21'
_space_group_IT_number 36
_space_group_name_Hall 'C 2c -2'
_cell_length_a 3.532
_cell_length_b 18.362
_cell_length_c 13.821
_cell_angle_alpha 90.00
_cell_angle_beta 90.00
_cell_angle_gamma 90.00
loop_
_atom_site_label
_atom_site_type_symbol
_atom_site_fract_x
_atom_site_fract_y
_atom_site_fract_z
_atom_site_occupancy
Nb1 Nb 0.000 0.056 0.000 1
Nb2 Nb 0.000 0.278 0.506 1
Nb3 Nb 0.000 0.391 0.003 1
Cu1 Cu 0.000 0.053 0.791 1
Cu2 Cu 0.000 0.281 0.716 1
Se1 Se 0.000 0.053 0.622 1
Se2 Se 0.000 0.059 0.380 1
Se3 Se 0.000 0.279 0.886 1
Se4 Se 0.000 0.283 0.126 1
Se5 Se 0.000 0.383 0.379 1
Se6 Se 0.000 0.393 0.623 1
```

Most intense lines, 10° ≤ 2θ ≤ 80°, in order of rising 2θ:
hkl 0 0 2, 2θ 12.81, 6.911 Å, intensity 30; hkl 1 3 0, 2θ 29.19, 3.060 Å, intensity 69; hkl 1 3 3, 2θ 35.21, 2.549 Å, intensity 79; hkl 0 6 5, 2θ 44.15, 2.051 Å, intensity 100; hkl 2 0 0, 2θ 51.75, 1.766 Å, intensity 53; hkl 0 0 8, 2θ 53.00, 1.728 Å, intensity 10; hkl 1 3 8, 2θ 61.65, 1.504 Å, intensity 10; hkl 0 12 3, 2θ 64.15, 1.452 Å, intensity 13; hkl 2 6 5, 2θ 70.33, 1.338 Å, intensity 24; hkl 2 0 8, 2θ 77.24, 1.235 Å, intensity 20


No. 9
The following is a calculated powder diffraction line list of Nb2CuSe4. It was derived from the PBE geometry in Alexandria, using Cu Kα, 1.54184 Å.
Neutral-atom scattering factors, no anomalous dispersion.

Structural model:
```
data_Nb2CuSe4
_space_group_name_H-M_alt 'P 3 m 1'
_space_group_IT_number 156
_space_group_name_Hall 'P 3 -2"'
_cell_length_a 3.5397
_cell_length_b 3.5397
_cell_length_c 13.8520
_cell_angle_alpha 90.00
_cell_angle_beta 90.00
_cell_angle_gamma 120.00
loop_
_atom_site_label
_atom_site_type_symbol
_atom_site_fract_x
_atom_site_fract_y
_atom_site_fract_z
_atom_site_occupancy
Nb1 Nb 0.0000 0.0000 0.0000 1
Nb2 Nb 0.3333 0.6667 0.5063 1
Cu1 Cu 0.3333 0.6667 0.2880 1
Se1 Se 0.0000 0.0000 0.3843 1
Se2 Se 0.0000 0.0000 0.6250 1
Se3 Se 0.3333 0.6667 0.1196 1
Se4 Se 0.3333 0.6667 0.8821 1
```

Most intense lines, 10° ≤ 2θ ≤ 80°, in order of rising 2θ:
hkl 0 0 2, 2θ 12.78, 6.926 Å, intensity 46; hkl 1 0 0, 2θ 29.13, 3.065 Å, intensity 70; hkl 1 0 3, 2θ 35.14, 2.554 Å, intensity 91; hkl 0 1 5, 2θ 44.06, 2.055 Å, intensity 100; hkl 1 1 0, 2θ 51.64, 1.770 Å, intensity 52; hkl 0 0 8, 2θ 52.88, 1.731 Å, intensity 11; hkl 0 1 8, 2θ 61.51, 1.508 Å, intensity 11; hkl 0 2 3, 2θ 64.00, 1.455 Å, intensity 15; hkl 2 0 5, 2θ 70.17, 1.341 Å, intensity 24; hkl 1 1 8, 2θ 77.05, 1.238 Å, intensity 22


No. 10
The following is a calculated powder diffraction line list of TaNbCu6Se8. It was derived from the PBE geometry in Alexandria, using Cu Kα, 1.54184 Å.
Neutral-atom scattering factors, no anomalous dispersion.

Structural model:
```
data_TaNbCu6Se8
_space_group_name_H-M_alt 'F -4 3 m'
_space_group_IT_number 216
_space_group_name_Hall 'F -4 2 3'
_cell_length_a 11.444
_cell_length_b 11.444
_cell_length_c 11.444
_cell_angle_alpha 90.00
_cell_angle_beta 90.00
_cell_angle_gamma 90.00
loop_
_atom_site_label
_atom_site_type_symbol
_atom_site_fract_x
_atom_site_fract_y
_atom_site_fract_z
_atom_site_occupancy
Ta1 Ta 0.000 0.000 0.000 1
Nb1 Nb 0.000 0.000 0.500 1
Cu1 Cu 0.000 0.000 0.250 1
Se1 Se 0.124 0.124 0.376 1
Se2 Se 0.124 0.124 0.876 1
```

Most intense lines, 10° ≤ 2θ ≤ 80°, in order of rising 2θ:
hkl 2 0 0, 2θ 15.49, 5.722 Å, intensity 75; hkl 2 2 2, 2θ 26.99, 3.303 Å, intensity 66; hkl 4 2 0, 2θ 35.07, 2.559 Å, intensity 38; hkl 4 4 0, 2θ 44.80, 2.023 Å, intensity 100; hkl 4 4 2, 2θ 47.68, 1.907 Å, intensity 20; hkl 6 2 2, 2θ 53.09, 1.725 Å, intensity 29; hkl 6 4 0, 2θ 58.13, 1.587 Å, intensity 10; hkl 8 0 0, 2θ 65.22, 1.430 Å, intensity 16; hkl 8 2 0, 2θ 67.49, 1.388 Å, intensity 11; hkl 6 6 2, 2θ 71.93, 1.313 Å, intensity 11


No. 11
The following is a calculated powder diffraction line list of NbCu3Te2Se2. It was derived from the PBE geometry in Alexandria, using Cu Kα, 1.54184 Å.
Neutral-atom scattering factors, no anomalous dispersion.

Structural model:
```
data_NbCu3Te2Se2
_space_group_name_H-M_alt 'C m m 2'
_space_group_IT_number 35
_space_group_name_Hall 'C 2 -2'
_cell_length_a 8.168
_cell_length_b 8.432
_cell_length_c 5.853
_cell_angle_alpha 90.00
_cell_angle_beta 90.00
_cell_angle_gamma 90.00
loop_
_atom_site_label
_atom_site_type_symbol
_atom_site_fract_x
_atom_site_fract_y
_atom_site_fract_z
_atom_site_occupancy
Nb1 Nb 0.000 0.000 0.000 1
Cu1 Cu 0.000 0.000 0.507 1
Cu2 Cu 0.250 0.250 0.995 1
Te1 Te 0.233 0.500 0.262 1
Se1 Se 0.000 0.238 0.756 1
```

Most intense lines, 10° ≤ 2θ ≤ 80°, in order of rising 2θ:
hkl 0 0 1, 2θ 15.12, 5.861 Å, intensity 57; hkl 0 2 1, 2θ 26.05, 3.421 Å, intensity 76; hkl 2 0 1, 2θ 26.62, 3.349 Å, intensity 66; hkl 2 2 1, 2θ 34.22, 2.621 Å, intensity 29; hkl 0 4 0, 2θ 42.90, 2.108 Å, intensity 27; hkl 2 2 2, 2θ 43.69, 2.072 Å, intensity 100; hkl 4 0 0, 2θ 44.36, 2.042 Å, intensity 23; hkl 2 4 1, 2θ 51.21, 1.784 Å, intensity 21; hkl 4 2 1, 2θ 52.17, 1.753 Å, intensity 20; hkl 2 6 2, 2θ 79.16, 1.210 Å, intensity 16